This entry pairs a crystal structure of ErMoIO4 with its simulated powder XRD pattern. Radiation: Cu Kα (weighted mean of Kα1 and Kα2). Structure: a crystal structure in Alexandria, relaxed with PBE+U.
Neutral-atom scattering factors, no anomalous dispersion.

Most intense lines, 2θ = 10–90°, low angle first:
13.03 deg, rel. 35
24.77 deg, rel. 100
26.24 deg, rel. 33
28.29 deg, rel. 47
28.62 deg, rel. 34
32.44 deg, rel. 30
33.71 deg, rel. 57
34.56 deg, rel. 26

Crystal structure
```
14
Lattice="5.4120 -3.5948 0.0000 5.4120 3.5948 0.0000 -1.9988 0.0000 6.7930" Properties=species:S:1:pos:R:3 pbc="T T T"
Er 2.3829 0.0000 0.8921
Er 6.4425 0.0000 5.9009
Mo 2.4798 0.0000 4.9874
Mo 6.3455 0.0000 1.8056
I -1.3300 0.0000 5.1131
I 10.1553 0.0000 1.6799
O 1.5924 1.3837 5.7777
O 2.3384 0.0000 3.2093
O 4.6145 0.0000 1.3564
O 1.5924 -1.3837 5.7777
O 7.2329 1.3837 1.0153
O 4.2108 0.0000 5.4366
O 6.4869 0.0000 3.5837
O 7.2329 -1.3837 1.0153
```